Entry 1:
# Ac3Zn2TcO9
Computed PXRD pattern, Cu Kα (weighted mean of Kα1 and Kα2). Input: a crystal structure in Alexandria, relaxed with GGA-PBE.
Neutral-atom scattering factors, no anomalous dispersion.

Main lines, in order of rising 2θ (5° ≤ 2θ ≤ 70°):
- hkl 1 0 1, 21.90 deg, I = 22
- hkl 1 1 0, 31.16 deg, I = 100
- hkl 0 2 1, 38.42 deg, I = 15
- hkl 2 0 2, 44.65 deg, I = 27
- hkl 3 0 0, 55.46 deg, I = 37
- hkl 2 2 0, 65.00 deg, I = 15

Cell and atoms:
```
data_Ac3Zn2TcO9
_chemical_formula_sum 'Ac3 Zn2 Tc1 O9'
_symmetry_space_group_name_H-M 'P -3 m 1'
_symmetry_Int_Tables_number 164
_symmetry_space_group_name_Hall '-P 3 2"'
_cell_length_a 5.7377
_cell_length_b 5.7377
_cell_length_c 7.0348
_cell_angle_alpha 90.00
_cell_angle_beta 90.00
_cell_angle_gamma 120.00
loop_
_atom_site_label
_atom_site_type_symbol
_atom_site_fract_x
_atom_site_fract_y
_atom_site_fract_z
_atom_site_occupancy
Ac1 Ac 0.0000 0.0000 0.0000 1
Ac2 Ac 0.3333 0.6667 0.7050 1
Zn1 Zn 0.3333 0.6667 0.1696 1
Tc1 Tc 0.0000 0.0000 0.5000 1
O1 O 0.0000 0.5000 0.0000 1
O2 O 0.1596 0.3193 0.3351 1
```


Entry 2:
# AcTeO5
Computed PXRD pattern, Cu Kα (weighted mean of Kα1 and Kα2). Input: a crystal structure in Alexandria, relaxed with GGA-PBE.
Neutral-atom scattering factors, no anomalous dispersion.

Main lines, in order of rising 2θ (5° ≤ 2θ ≤ 70°):
- hkl 2 0 0, 23.48 deg, I = 53
- hkl 0 0 2, 24.27 deg, I = 40
- hkl 1 2 1, 29.02 deg, I = 100
- hkl 2 0 2, 34.02 deg, I = 23
- hkl 3 2 1, 44.85 deg, I = 33
- hkl 1 2 3, 45.76 deg, I = 32

Cell and atoms:
```
data_AcTeO5
_chemical_formula_sum 'Ac4 Te4 O20'
_symmetry_space_group_name_H-M 'I m m a'
_symmetry_Int_Tables_number 74
_symmetry_space_group_name_Hall '-I 2b 2'
_cell_length_a 7.5792
_cell_length_b 7.5793
_cell_length_c 7.3332
_cell_angle_alpha 90.00
_cell_angle_beta 90.00
_cell_angle_gamma 90.00
loop_
_atom_site_label
_atom_site_type_symbol
_atom_site_fract_x
_atom_site_fract_y
_atom_site_fract_z
_atom_site_occupancy
Ac1 Ac 0.0000 0.2500 0.0353 1
Te1 Te 0.0000 0.0000 0.5000 1
O1 O 0.0000 0.0518 0.7548 1
O2 O 0.0000 0.2500 0.4091 1
O3 O 0.2469 0.0000 0.0000 1
```


Entry 3:
# AcTeO
Computed PXRD pattern, Cu Kα (weighted mean of Kα1 and Kα2). Input: a crystal structure in Alexandria, relaxed with GGA-PBE.
Neutral-atom scattering factors, no anomalous dispersion.

Main lines, in order of rising 2θ (5° ≤ 2θ ≤ 70°):
- hkl 1 0 0, 10.47 deg, I = 30
- hkl 0 1 2, 28.39 deg, I = 41
- hkl 2 1 0, 28.87 deg, I = 100
- hkl 1 1 -2, 29.26 deg, I = 54
- hkl 2 0 2, 31.55 deg, I = 27
- hkl 0 2 0, 39.72 deg, I = 31

Cell and atoms:
```
data_AcTeO
_chemical_formula_sum 'Ac4 Te4 O4'
_symmetry_space_group_name_H-M 'P 1 21/m 1'
_symmetry_Int_Tables_number 11
_symmetry_space_group_name_Hall '-P 2yb'
_cell_length_a 8.5421
_cell_length_b 4.5390
_cell_length_c 8.8080
_cell_angle_alpha 90.00
_cell_angle_beta 98.30
_cell_angle_gamma 90.00
loop_
_atom_site_label
_atom_site_type_symbol
_atom_site_fract_x
_atom_site_fract_y
_atom_site_fract_z
_atom_site_occupancy
Ac1 Ac 0.1328 0.2500 0.1529 1
Ac2 Ac 0.1414 0.2500 0.6398 1
Te1 Te 0.3224 0.7500 0.4194 1
Te2 Te 0.4570 0.7500 0.1464 1
O1 O 0.0231 0.2500 0.8805 1
O2 O 0.0279 0.7500 0.6299 1
```


Entry 4:
# AcTe2O6
Computed PXRD pattern, Cu Kα (weighted mean of Kα1 and Kα2). Input: a crystal structure in Alexandria, relaxed with GGA-PBE.
Neutral-atom scattering factors, no anomalous dispersion.

Main lines, in order of rising 2θ (5° ≤ 2θ ≤ 70°):
- hkl 1 1 1, 14.70 deg, I = 25
- hkl 3 1 1, 25.35 deg, I = 100
- hkl 0 2 2, 25.72 deg, I = 83
- hkl 0 4 0, 26.95 deg, I = 39
- hkl 3 3 1, 31.86 deg, I = 45
- hkl 3 5 1, 42.20 deg, I = 29

Cell and atoms:
```
data_AcTe2O6
_chemical_formula_sum 'Ac8 Te16 O48'
_symmetry_space_group_name_H-M 'F d d 2'
_symmetry_Int_Tables_number 43
_symmetry_space_group_name_Hall 'F 2 -2d'
_cell_length_a 12.2272
_cell_length_b 13.2329
_cell_length_c 8.1315
_cell_angle_alpha 90.00
_cell_angle_beta 90.00
_cell_angle_gamma 90.00
loop_
_atom_site_label
_atom_site_type_symbol
_atom_site_fract_x
_atom_site_fract_y
_atom_site_fract_z
_atom_site_occupancy
Ac1 Ac 0.0000 0.0000 0.0000 1
Te1 Te 0.0729 0.2428 0.7009 1
O1 O 0.0075 0.1208 0.7622 1
O2 O 0.0529 0.1867 0.1313 1
O3 O 0.1212 0.4508 0.7455 1
```


Entry 5:
# AcTe2O5
Computed PXRD pattern, Cu Kα (weighted mean of Kα1 and Kα2). Input: a crystal structure in Alexandria, relaxed with GGA-PBE.
Neutral-atom scattering factors, no anomalous dispersion.

Main lines, in order of rising 2θ (5° ≤ 2θ ≤ 70°):
- hkl 1 1 1, 18.22 deg, I = 27
- hkl 1 2 1, 22.88 deg, I = 23
- hkl 2 0 0, 24.06 deg, I = 22
- hkl 1 3 0, 26.75 deg, I = 100
- hkl 2 1 1, 27.78 deg, I = 21
- hkl 1 3 1, 29.10 deg, I = 24

Cell and atoms:
```
data_AcTe2O5
_chemical_formula_sum 'Ac4 Te8 O20'
_symmetry_space_group_name_H-M 'P b c n'
_symmetry_Int_Tables_number 60
_symmetry_space_group_name_Hall '-P 2n 2ab'
_cell_length_a 7.3988
_cell_length_b 11.1790
_cell_length_c 7.9300
_cell_angle_alpha 90.00
_cell_angle_beta 90.00
_cell_angle_gamma 90.00
loop_
_atom_site_label
_atom_site_type_symbol
_atom_site_fract_x
_atom_site_fract_y
_atom_site_fract_z
_atom_site_occupancy
Ac1 Ac 0.0000 0.0513 0.2500 1
Te1 Te 0.0894 0.3589 0.0318 1
O1 O 0.0000 0.4393 0.2500 1
O2 O 0.1748 0.2246 0.1560 1
O3 O 0.1790 0.0626 0.5207 1
```


Entry 6:
# Ac2TlTeO6
Computed PXRD pattern, Cu Kα (weighted mean of Kα1 and Kα2). Input: a crystal structure in Alexandria, relaxed with GGA-PBE.
Neutral-atom scattering factors, no anomalous dispersion.

Main lines, in order of rising 2θ (5° ≤ 2θ ≤ 70°):
- hkl 1 0 4, 26.91 deg, I = 96
- hkl 1 1 0, 28.48 deg, I = 100
- hkl 0 2 4, 39.59 deg, I = 37
- hkl 1 1 6, 43.44 deg, I = 23
- hkl 2 1 4, 49.49 deg, I = 40
- hkl 3 0 0, 50.44 deg, I = 27

Cell and atoms:
```
data_Ac2TlTeO6
_chemical_formula_sum 'Ac6 Tl3 Te3 O18'
_symmetry_space_group_name_H-M 'R 3'
_symmetry_Int_Tables_number 146
_symmetry_space_group_name_Hall 'R 3'
_cell_length_a 6.2670
_cell_length_b 6.2670
_cell_length_c 16.7288
_cell_angle_alpha 90.00
_cell_angle_beta 90.00
_cell_angle_gamma 120.00
loop_
_atom_site_label
_atom_site_type_symbol
_atom_site_fract_x
_atom_site_fract_y
_atom_site_fract_z
_atom_site_occupancy
Ac1 Ac 0.0000 0.0000 0.0000 1
Ac2 Ac 0.0000 0.0000 0.4828 1
Tl1 Tl 0.0000 0.0000 0.2598 1
Te1 Te 0.0000 0.0000 0.7952 1
O1 O 0.0390 0.3680 0.4004 1
O2 O 0.0925 0.6915 0.5421 1
```


Entry 7:
# AcTlTeO6
Computed PXRD pattern, Cu Kα (weighted mean of Kα1 and Kα2). Input: a crystal structure in Alexandria, relaxed with GGA-PBE.
Neutral-atom scattering factors, no anomalous dispersion.

Main lines, in order of rising 2θ (5° ≤ 2θ ≤ 70°):
- hkl 1 0 2, 24.90 deg, I = 100
- hkl 1 1 0, 31.87 deg, I = 45
- hkl 2 0 2, 40.86 deg, I = 27
- hkl 1 1 4, 47.28 deg, I = 42
- hkl 2 1 2, 52.73 deg, I = 26
- hkl 3 0 0, 56.78 deg, I = 13

Cell and atoms:
```
data_AcTlTeO6
_chemical_formula_sum 'Ac2 Tl2 Te2 O12'
_symmetry_space_group_name_H-M 'P -3 1 c'
_symmetry_Int_Tables_number 163
_symmetry_space_group_name_Hall '-P 3 2c'
_cell_length_a 5.6167
_cell_length_b 5.6167
_cell_length_c 10.5479
_cell_angle_alpha 90.00
_cell_angle_beta 90.00
_cell_angle_gamma 120.00
loop_
_atom_site_label
_atom_site_type_symbol
_atom_site_fract_x
_atom_site_fract_y
_atom_site_fract_z
_atom_site_occupancy
Ac1 Ac 0.0000 0.0000 0.0000 1
Tl1 Tl 0.3333 0.6667 0.2500 1
Te1 Te 0.3333 0.6667 0.7500 1
O1 O 0.0435 0.3862 0.6424 1
```


Entry 8:
# AcYTe2O
Computed PXRD pattern, Cu Kα (weighted mean of Kα1 and Kα2). Input: a crystal structure in Alexandria, relaxed with GGA-PBE.
Neutral-atom scattering factors, no anomalous dispersion.

Main lines, in order of rising 2θ (5° ≤ 2θ ≤ 70°):
- hkl 0 0 1, 5.59 deg, I = 35
- hkl 1 0 3, 26.56 deg, I = 100
- hkl 1 1 0, 29.01 deg, I = 99
- hkl 1 0 4, 30.54 deg, I = 32
- hkl 2 0 0, 41.49 deg, I = 43
- hkl 2 1 3, 49.95 deg, I = 37

Cell and atoms:
```
data_AcYTe2O
_chemical_formula_sum 'Ac2 Y2 Te4 O2'
_symmetry_space_group_name_H-M 'P 4/n m m'
_symmetry_Int_Tables_number 129
_cell_length_a 4.3524
_cell_length_b 4.3524
_cell_length_c 15.8175
_cell_angle_alpha 90.00
_cell_angle_beta 90.00
_cell_angle_gamma 90.00
loop_
_symmetry_equiv_pos_as_xyz
'x,y,z'
'-x,-y,-z'
'-y+1/2,x,z'
'y+1/2,-x,-z'
'-x+1/2,-y+1/2,z'
'x+1/2,y+1/2,-z'
'y,-x+1/2,z'
'-y,x+1/2,-z'
'x+1/2,-y,-z'
'-x+1/2,y,z'
'-y,-x,-z'
'y,x,z'
'-x,y+1/2,-z'
'x,-y+1/2,z'
'y+1/2,x+1/2,-z'
'-y+1/2,-x+1/2,z'
loop_
_atom_site_label
_atom_site_type_symbol
_atom_site_fract_x
_atom_site_fract_y
_atom_site_fract_z
_atom_site_occupancy
Ac1 Ac 0.2500 0.2500 0.0780 1
Y1 Y 0.2500 0.2500 0.6205 1
Te1 Te 0.2500 0.2500 0.4127 1
Te2 Te 0.2500 0.2500 0.8007 1
O1 O 0.2500 0.7500 0.0000 1
```


Entry 9:
# Ac2ThO5
Computed PXRD pattern, Cu Kα (weighted mean of Kα1 and Kα2). Input: a crystal structure in Alexandria, relaxed with GGA-PBE.
Neutral-atom scattering factors, no anomalous dispersion.

Main lines, in order of rising 2θ (5° ≤ 2θ ≤ 70°):
- hkl 0 0 2, 27.12 deg, I = 53
- hkl 3 0 1, 28.42 deg, I = 100
- hkl 1 2 1, 28.86 deg, I = 77
- hkl 2 2 0, 29.27 deg, I = 49
- hkl 2 2 2, 40.33 deg, I = 44
- hkl 6 0 0, 51.12 deg, I = 40

Cell and atoms:
```
data_Ac2ThO5
_chemical_formula_sum 'Ac8 Th4 O20'
_symmetry_space_group_name_H-M 'P n m a'
_symmetry_Int_Tables_number 62
_symmetry_space_group_name_Hall '-P 2ac 2n'
_cell_length_a 10.7230
_cell_length_b 7.4199
_cell_length_c 6.5768
_cell_angle_alpha 90.00
_cell_angle_beta 90.00
_cell_angle_gamma 90.00
loop_
_atom_site_label
_atom_site_type_symbol
_atom_site_fract_x
_atom_site_fract_y
_atom_site_fract_z
_atom_site_occupancy
Ac1 Ac 0.1726 0.0023 0.0143 1
Th1 Th 0.0033 0.2500 0.5481 1
O1 O 0.0055 0.2500 0.9369 1
O2 O 0.0961 0.5241 0.6481 1
O3 O 0.1856 0.2500 0.3363 1
O4 O 0.2077 0.7500 0.3186 1
```